Entry 1:
This entry pairs a crystal structure of Be3Fe13 with its theoretical powder diffractogram. Radiation: Cu Ka. Structure: DFT lattice parameters and positions (PBE).

Structural model:
```
data_Be3Fe13
_symmetry_space_group_name_H-M 'A m m 2'
_symmetry_Int_Tables_number 38
_symmetry_space_group_name_Hall 'A 2 -2'
_cell_length_a 5.619
_cell_length_b 7.791
_cell_length_c 7.879
_cell_angle_alpha 90.00
_cell_angle_beta 90.00
_cell_angle_gamma 90.00
loop_
_atom_site_label
_atom_site_type_symbol
_atom_site_fract_x
_atom_site_fract_y
_atom_site_fract_z
Be1 Be 0.000 0.000 0.000
Be2 Be 0.246 0.000 0.242
Fe1 Fe 0.000 0.000 0.487
Fe2 Fe 0.000 0.242 0.243
Fe3 Fe 0.246 0.000 0.748
Fe4 Fe 0.247 0.247 0.995
Fe5 Fe 0.500 0.000 0.001
Fe6 Fe 0.500 0.000 0.490
Fe7 Fe 0.500 0.241 0.244
```

Top 12 peaks for 10° ≤ 2θ ≤ 90°, low angle first:
| d (Å) | 2θ (°) | Rel. int. |
| --- | --- | --- |
| 5.540 | 16.0 | 9 |
| 3.895 | 22.8 | 5 |
| 2.506 | 35.8 | 5 |
| 2.487 | 36.1 | 3 |
| 1.972 | 46.0 | 100 |
| 1.948 | 46.6 | 19 |
| 1.405 | 66.6 | 6 |
| 1.385 | 67.6 | 11 |
| 1.144 | 84.8 | 6 |
| 1.139 | 85.2 | 6 |
| 1.138 | 85.3 | 11 |
| 1.129 | 86.1 | 11 |

=====

Entry 2:
This entry pairs a crystal structure of BeFe2 with its theoretical powder diffractogram. Radiation: Cu Ka. Structure: DFT lattice parameters and positions (PBE).

Structural model:
```
data_BeFe2
_symmetry_space_group_name_H-M 'I 41/a m d'
_symmetry_Int_Tables_number 141
_cell_length_a 2.426
_cell_length_b 2.426
_cell_length_c 21.552
_cell_angle_alpha 90.00
_cell_angle_beta 90.00
_cell_angle_gamma 90.00
loop_
_symmetry_equiv_pos_as_xyz
'x,y,z'
'-x,-y,-z'
'-y+1/4,x+3/4,z+1/4'
'y+1/4,-x+3/4,-z+1/4'
'-x+1/2,-y,z+1/2'
'x+1/2,y,-z+1/2'
'y+1/4,-x+1/4,z+3/4'
'-y+1/4,x+1/4,-z+3/4'
'x,-y,-z'
'-x,y,z'
'-y+1/4,-x+1/4,-z+3/4'
'y+1/4,x+1/4,z+3/4'
'-x+1/2,y,-z+1/2'
'x+1/2,-y,z+1/2'
'y+1/4,x+3/4,-z+1/4'
'-y+1/4,-x+3/4,z+1/4'
'x+1/2,y+1/2,z+1/2'
'-x+1/2,-y+1/2,-z+1/2'
'-y+3/4,x+1/4,z+3/4'
'y+3/4,-x+1/4,-z+3/4'
'-x,-y+1/2,z'
'x,y+1/2,-z'
'y+3/4,-x+3/4,z+1/4'
'-y+3/4,x+3/4,-z+1/4'
'x+1/2,-y+1/2,-z+1/2'
'-x+1/2,y+1/2,z+1/2'
'-y+3/4,-x+3/4,-z+1/4'
'y+3/4,x+3/4,z+1/4'
'-x,y+1/2,-z'
'x,-y+1/2,z'
'y+3/4,x+1/4,-z+3/4'
'-y+3/4,-x+1/4,z+3/4'
loop_
_atom_site_label
_atom_site_type_symbol
_atom_site_fract_x
_atom_site_fract_y
_atom_site_fract_z
Be1 Be 0.000 0.250 0.375
Fe1 Fe 0.000 0.250 0.801
```

Top 12 peaks for 10° ≤ 2θ ≤ 90°, low angle first:
| d (Å) | 2θ (°) | Rel. int. |
| --- | --- | --- |
| 5.388 | 16.5 | 31 |
| 2.694 | 33.3 | 58 |
| 2.411 | 37.3 | 100 |
| 2.114 | 42.8 | 52 |
| 1.905 | 47.7 | 72 |
| 1.796 | 50.8 | 19 |
| 1.704 | 53.8 | 13 |
| 1.694 | 54.1 | 37 |
| 1.548 | 59.7 | 51 |
| 1.369 | 68.6 | 17 |
| 1.213 | 78.9 | 15 |
| 1.146 | 84.6 | 23 |

=====

Entry 3:
This entry pairs a crystal structure of Rb2BeFeI6 with its theoretical powder diffractogram. Radiation: Cu Ka. Structure: DFT lattice parameters and positions (PBE).

Structural model:
```
data_Rb2BeFeI6
_symmetry_space_group_name_H-M 'I 4/m m m'
_symmetry_Int_Tables_number 139
_symmetry_space_group_name_Hall '-I 4 2'
_cell_length_a 8.005
_cell_length_b 8.005
_cell_length_c 11.817
_cell_angle_alpha 90.00
_cell_angle_beta 90.00
_cell_angle_gamma 90.00
loop_
_atom_site_label
_atom_site_type_symbol
_atom_site_fract_x
_atom_site_fract_y
_atom_site_fract_z
Rb1 Rb 0.000 0.500 0.250
Be1 Be 0.000 0.000 0.000
Fe1 Fe 0.000 0.000 0.500
I1 I 0.000 0.000 0.278
I2 I 0.230 0.230 0.000
```

Top 12 peaks for 10° ≤ 2θ ≤ 90°, low angle first:
| d (Å) | 2θ (°) | Rel. int. |
| --- | --- | --- |
| 3.426 | 26.0 | 8 |
| 3.314 | 26.9 | 100 |
| 2.954 | 30.3 | 23 |
| 2.830 | 31.6 | 44 |
| 2.044 | 44.3 | 30 |
| 2.001 | 45.3 | 15 |
| 1.972 | 46.0 | 7 |
| 1.768 | 51.7 | 16 |
| 1.713 | 53.5 | 25 |
| 1.657 | 55.5 | 14 |
| 1.325 | 71.2 | 11 |
| 1.163 | 83.0 | 7 |

=====

Entry 4:
This entry pairs a crystal structure of BeFeSbI2 with its theoretical powder diffractogram. Radiation: Cu Ka. Structure: DFT lattice parameters and positions (PBE).

Structural model:
```
data_BeFeSbI2
_symmetry_space_group_name_H-M 'P 4/m m m'
_symmetry_Int_Tables_number 123
_symmetry_space_group_name_Hall '-P 4 2'
_cell_length_a 5.512
_cell_length_b 5.512
_cell_length_c 4.912
_cell_angle_alpha 90.00
_cell_angle_beta 90.00
_cell_angle_gamma 90.00
loop_
_atom_site_label
_atom_site_type_symbol
_atom_site_fract_x
_atom_site_fract_y
_atom_site_fract_z
Be1 Be 0.000 0.000 0.000
Fe1 Fe 0.500 0.500 0.500
Sb1 Sb 0.500 0.500 0.000
I1 I 0.000 0.500 0.500
```

Top 12 peaks for 10° ≤ 2θ ≤ 90°, low angle first:
| d (Å) | 2θ (°) | Rel. int. |
| --- | --- | --- |
| 5.512 | 16.1 | 63 |
| 4.912 | 18.1 | 27 |
| 3.053 | 29.2 | 100 |
| 2.756 | 32.5 | 71 |
| 2.465 | 36.4 | 17 |
| 2.456 | 36.6 | 26 |
| 2.404 | 37.4 | 17 |
| 1.949 | 46.6 | 26 |
| 1.834 | 49.7 | 42 |
| 1.643 | 56.0 | 32 |
| 1.527 | 60.6 | 26 |
| 1.102 | 88.8 | 18 |

=====

Entry 5:
This entry pairs a crystal structure of Be4InFe with its theoretical powder diffractogram. Radiation: Cu Ka. Structure: DFT lattice parameters and positions (PBE).

Structural model:
```
data_Be4InFe
_symmetry_space_group_name_H-M 'F -4 3 m'
_symmetry_Int_Tables_number 216
_symmetry_space_group_name_Hall 'F -4 2 3'
_cell_length_a 6.254
_cell_length_b 6.254
_cell_length_c 6.254
_cell_angle_alpha 90.00
_cell_angle_beta 90.00
_cell_angle_gamma 90.00
loop_
_atom_site_label
_atom_site_type_symbol
_atom_site_fract_x
_atom_site_fract_y
_atom_site_fract_z
Be1 Be 0.122 0.122 0.122
In1 In 0.000 0.000 0.500
Fe1 Fe 0.250 0.250 0.750
```

Top 11 peaks for 10° ≤ 2θ ≤ 90°, low angle first:
| d (Å) | 2θ (°) | Rel. int. |
| --- | --- | --- |
| 3.611 | 24.7 | 100 |
| 3.127 | 28.5 | 13 |
| 2.211 | 40.8 | 87 |
| 1.886 | 48.3 | 68 |
| 1.805 | 50.6 | 4 |
| 1.563 | 59.1 | 10 |
| 1.435 | 65.0 | 19 |
| 1.398 | 66.9 | 4 |
| 1.277 | 74.3 | 27 |
| 1.204 | 79.7 | 20 |
| 1.106 | 88.4 | 11 |

=====

Entry 6:
This entry pairs a crystal structure of BeFe2IrW with its theoretical powder diffractogram. Radiation: Cu Ka. Structure: DFT lattice parameters and positions (PBE).

Structural model:
```
data_BeFe2IrW
_symmetry_space_group_name_H-M 'P 4/m m m'
_symmetry_Int_Tables_number 123
_symmetry_space_group_name_Hall '-P 4 2'
_cell_length_a 4.431
_cell_length_b 4.431
_cell_length_c 4.790
_cell_angle_alpha 90.00
_cell_angle_beta 90.00
_cell_angle_gamma 90.00
loop_
_atom_site_label
_atom_site_type_symbol
_atom_site_fract_x
_atom_site_fract_y
_atom_site_fract_z
Be1 Be 0.000 0.000 0.000
Fe1 Fe 0.000 0.500 0.500
Ir1 Ir 0.500 0.500 0.000
W1 W 0.500 0.500 0.500
```

Top 12 peaks for 10° ≤ 2θ ≤ 90°, low angle first:
| d (Å) | 2θ (°) | Rel. int. |
| --- | --- | --- |
| 4.431 | 20.0 | 100 |
| 3.133 | 28.5 | 21 |
| 2.395 | 37.6 | 19 |
| 2.215 | 40.7 | 31 |
| 2.107 | 42.9 | 29 |
| 1.981 | 45.8 | 24 |
| 1.903 | 47.8 | 11 |
| 1.626 | 56.6 | 23 |
| 1.566 | 59.0 | 10 |
| 1.527 | 60.7 | 21 |
| 1.311 | 72.0 | 11 |
| 1.093 | 89.7 | 8 |

=====

Q: Which formula does entry 2 have?
A: BeFe2